(1)
Na3Ge: calculated powder X-ray diffraction pattern (Cu Kα, 1.54184 Å), based on the PBE geometry in the Materials Project.
Neutral-atom scattering factors, no anomalous dispersion.

Top 10 peaks for 2θ from 10° to 90°, by intensity:
- 34.15°, 2.625 Å, I 100
- 61.14°, 1.516 Å, I 34
- 20.72°, 4.287 Å, I 27
- 49.07°, 1.856 Å, I 17
- 40.28°, 2.239 Å, I 15
- 23.97°, 3.713 Å, I 14
- 82.08°, 1.174 Å, I 13
- 71.93°, 1.313 Å, I 10
- 53.81°, 1.704 Å, I 6
- 55.33°, 1.660 Å, I 6

Cell: 5.251 5.251 5.251 Å, 60.00 60.00 60.00°
Fractional coordinates of all 4 atoms:
Na 0.000 0.000 0.000
Na 0.250 0.250 0.250
Na 0.750 0.750 0.750
Ge 0.500 0.500 0.500

***

(2)
NaGe: calculated powder X-ray diffraction pattern (Cu Kα, 1.54184 Å), based on the PBE geometry in the Materials Project.
Neutral-atom scattering factors, no anomalous dispersion.

Top 10 peaks for 2θ from 10° to 90°, by intensity:
- 15.83°, 5.600 Å, I 100
- 16.55°, 5.356 Å, I 80
- 20.02°, 4.436 Å, I 75
- 40.68°, 2.218 Å, I 69
- 17.24°, 5.142 Å, I 66
- 15.64°, 5.666 Å, I 64
- 33.47°, 2.678 Å, I 56
- 34.80°, 2.578 Å, I 54
- 44.47°, 2.037 Å, I 51
- 39.28°, 2.293 Å, I 47

Cell: 11.919 6.677 11.442 Å, 90.00 116.00 90.00°
Fractional coordinates of all 32 atoms:
Na 0.097 0.064 0.233
Na 0.097 0.436 0.733
Na 0.141 0.637 0.048
Na 0.141 0.863 0.548
Na 0.393 0.146 0.760
Na 0.393 0.354 0.260
Na 0.396 0.681 0.903
Na 0.396 0.819 0.403
Na 0.604 0.181 0.597
Na 0.604 0.319 0.097
Na 0.607 0.646 0.740
Na 0.607 0.854 0.240
Na 0.859 0.137 0.452
Na 0.859 0.363 0.952
Na 0.903 0.564 0.267
Na 0.903 0.936 0.767
Ge 0.124 0.184 0.993
Ge 0.124 0.316 0.493
Ge 0.192 0.526 0.345
Ge 0.192 0.974 0.845
Ge 0.324 0.540 0.600
Ge 0.324 0.960 0.100
Ge 0.326 0.219 0.475
Ge 0.326 0.281 0.975
Ge 0.674 0.719 0.025
Ge 0.674 0.781 0.525
Ge 0.676 0.040 0.900
Ge 0.676 0.460 0.400
Ge 0.808 0.026 0.155
Ge 0.808 0.474 0.655
Ge 0.876 0.684 0.507
Ge 0.876 0.816 0.007

***

(3)
NaNbGeO5: calculated powder X-ray diffraction pattern (Cu Kα, 1.54184 Å), based on the PBE geometry in the Materials Project.
Neutral-atom scattering factors, no anomalous dispersion.

Top 10 peaks for 2θ from 10° to 90°, by intensity:
- 25.35°, 3.514 Å, I 100
- 28.56°, 3.126 Å, I 68
- 33.07°, 2.708 Å, I 67
- 32.59°, 2.747 Å, I 57
- 17.26°, 5.137 Å, I 57
- 17.43°, 5.089 Å, I 38
- 53.51°, 1.712 Å, I 25
- 25.00°, 3.562 Å, I 21
- 51.30°, 1.781 Å, I 20
- 40.89°, 2.207 Å, I 18

Cell: 6.945 9.016 7.698 Å, 90.00 115.81 90.00°
Fractional coordinates of all 32 atoms:
Na 0.241 0.081 0.204
Na 0.241 0.419 0.704
Na 0.759 0.581 0.296
Na 0.759 0.919 0.796
Nb 0.259 0.739 0.978
Nb 0.259 0.761 0.478
Nb 0.741 0.239 0.522
Nb 0.741 0.261 0.022
Ge 0.246 0.064 0.748
Ge 0.246 0.436 0.248
Ge 0.754 0.564 0.752
Ge 0.754 0.936 0.252
O 0.046 0.183 0.586
O 0.046 0.317 0.086
O 0.155 0.548 0.388
O 0.155 0.952 0.888
O 0.253 0.679 0.748
O 0.253 0.821 0.248
O 0.358 0.546 0.124
O 0.358 0.954 0.624
O 0.438 0.190 0.906
O 0.438 0.310 0.406
O 0.562 0.690 0.594
O 0.562 0.810 0.094
O 0.642 0.046 0.376
O 0.642 0.454 0.876
O 0.747 0.179 0.752
O 0.747 0.321 0.252
O 0.845 0.048 0.112
O 0.845 0.452 0.612
O 0.954 0.683 0.914
O 0.954 0.817 0.414